Diffraction record for ScAg7F12. The PXRD pattern is calculated, not measured: it uses a PBE-relaxed structure and Cu Kα (weighted mean of Kα1 and Kα2).
Neutral-atom scattering factors, no anomalous dispersion.

Principal peaks in the range 5 to 70 degrees two-theta, by intensity:
2θ 39.56, I 100.0
2θ 51.22, I 67.4
2θ 31.87, I 57.5
2θ 24.93, I 55.4
2θ 20.68, I 54.1
2θ 27.75, I 52.5
2θ 23.98, I 38.6
2θ 34.05, I 36.6

Structural model:
a = 7.757 Å, b = 7.757 Å, c = 7.757 Å
α = 111.95°, β = 111.95°, γ = 111.95°
Element x y z (fractional)
Sc (0.000, 0.000, 0.000)
Ag (0.111, 0.244, 0.675)
Ag (0.244, 0.675, 0.111)
Ag (0.325, 0.889, 0.756)
Ag (0.500, 0.500, 0.500)
Ag (0.675, 0.111, 0.244)
Ag (0.756, 0.325, 0.889)
Ag (0.889, 0.756, 0.325)
F (0.059, 0.183, 0.311)
F (0.164, 0.709, 0.356)
F (0.183, 0.311, 0.059)
F (0.291, 0.644, 0.836)
F (0.311, 0.059, 0.183)
F (0.356, 0.164, 0.709)
F (0.644, 0.836, 0.291)
F (0.689, 0.941, 0.817)
F (0.709, 0.356, 0.164)
F (0.817, 0.689, 0.941)
F (0.836, 0.291, 0.644)
F (0.941, 0.817, 0.689)